For RbErP2O7, a DFT-relaxed cell (PBE, the Materials Project) gives the calculated PXRD pattern in this record (a wavelength of 1.5418 Å).

Crystal structure
Unit cell a=7.7984 b=11.0163 c=8.7521 alpha=90.00 beta=105.51 gamma=90.00
Element x y z (fractional)
Rb 0.1902 0.1801 0.0607
Rb 0.1902 0.3199 0.5607
Rb 0.8098 0.6801 0.4393
Rb 0.8098 0.8199 0.9393
Er 0.2339 0.5976 0.2514
Er 0.2339 0.9024 0.7514
Er 0.7661 0.0976 0.2486
Er 0.7661 0.4024 0.7486
P 0.1306 0.6000 0.8163
P 0.1306 0.9000 0.3163
P 0.4370 0.6379 0.6856
P 0.4370 0.8621 0.1856
P 0.5630 0.1379 0.8144
P 0.5630 0.3621 0.3144
P 0.8694 0.1000 0.6837
P 0.8694 0.4000 0.1837
O 0.0084 0.5022 0.7184
O 0.0084 0.9978 0.2184
O 0.0774 0.7277 0.7484
O 0.0774 0.7723 0.2484
O 0.1433 0.5912 0.9920
O 0.1433 0.9088 0.4920
O 0.3295 0.5707 0.7991
O 0.3295 0.9293 0.2991
O 0.3327 0.6106 0.5149
O 0.3327 0.8894 0.0149
O 0.3784 0.0791 0.7672
O 0.3784 0.4209 0.2672
O 0.4484 0.7267 0.2282
O 0.4484 0.7733 0.7282
O 0.5516 0.2267 0.2718
O 0.5516 0.2733 0.7718
O 0.6216 0.5791 0.7328
O 0.6216 0.9209 0.2328
O 0.6673 0.1106 0.9851
O 0.6673 0.3894 0.4851
O 0.6705 0.0707 0.7009
O 0.6705 0.4293 0.2009
O 0.8567 0.0912 0.5080
O 0.8567 0.4088 0.0080
O 0.9226 0.2277 0.7516
O 0.9226 0.2723 0.2516
O 0.9916 0.0022 0.7816
O 0.9916 0.4978 0.2816

Most intense lines, 2θ from 10° to 90°, in order of rising 2θ:
hkl 1 1 0, 2θ = 14.3°, I 36
hkl 1 1 -1, 2θ = 15.7°, I 49
hkl 0 0 2, 2θ = 21.1°, I 47
hkl 2 0 0, 2θ = 23.7°, I 30
hkl 1 3 0, 2θ = 27.0°, I 65
hkl 1 1 2, 2θ = 28.1°, I 51
hkl 2 2 -1, 2θ = 28.4°, I 100
hkl 1 1 -3, 2θ = 31.9°, I 25

=====

For ErPaO4, a DFT-relaxed cell (PBE, the Materials Project) gives the calculated PXRD pattern in this record (a wavelength of 1.5418 Å).

Crystal structure
Unit cell a=3.7983 b=3.7983 c=5.3594 alpha=90.00 beta=90.00 gamma=90.00
Element x y z (fractional)
Er 0.0000 0.0000 0.0000
Pa 0.5000 0.5000 0.5000
O 0.0000 0.5000 0.2576
O 0.0000 0.5000 0.7424
O 0.5000 0.0000 0.2576
O 0.5000 0.0000 0.7424

Most intense lines, 2θ from 10° to 90°, in order of rising 2θ:
hkl 1 0 1, 2θ = 28.8°, I 100
hkl 1 1 0, 2θ = 33.4°, I 35
hkl 2 0 0, 2θ = 47.9°, I 50
hkl 2 1 1, 2θ = 56.9°, I 31
hkl 1 0 3, 2θ = 57.0°, I 15
hkl 2 0 2, 2θ = 59.7°, I 10
hkl 3 0 1, 2θ = 77.5°, I 19
hkl 3 1 2, 2θ = 89.4°, I 11